For Li6MnFe3P6O24, a DFT-relaxed cell (GGA+U, the Materials Project) gives the computed PXRD pattern in this record (Cu Kα (λ = 1.5418 Å)).

Structure:
```
data_Li6MnFe3P6O24
_chemical_formula_sum 'Li6 Mn1 Fe3 P6 O24'
_symmetry_space_group_name_H-M 'P 1'
_symmetry_Int_Tables_number 1
_cell_length_a 8.513
_cell_length_b 8.540
_cell_length_c 8.688
_cell_angle_alpha 61.24
_cell_angle_beta 62.19
_cell_angle_gamma 62.10
loop_
_symmetry_equiv_pos_as_xyz
'x,y,z'
loop_
_atom_site_label
_atom_site_fract_x
_atom_site_fract_y
_atom_site_fract_z
Li1 0.000 0.000 0.000
Li2 0.103 0.914 0.499
Li3 0.247 0.638 0.858
Li4 0.404 0.402 0.201
Li5 0.594 0.825 0.609
Li6 0.742 0.183 0.370
Mn1 0.610 0.013 0.204
Fe1 0.105 0.513 0.720
Fe2 0.401 0.810 0.003
Fe3 0.890 0.306 0.503
P1 0.002 0.707 0.315
P2 0.204 0.210 0.108
P3 0.291 0.116 0.608
P4 0.501 0.614 0.403
P5 0.705 0.409 0.897
P6 0.807 0.910 0.803
O1 0.000 0.754 0.776
O2 0.023 0.204 0.276
O3 0.050 0.694 0.472
O4 0.136 0.132 0.552
O5 0.160 0.728 0.124
O6 0.182 0.402 0.951
O7 0.236 0.286 0.661
O8 0.247 0.049 0.044
O9 0.316 0.925 0.772
O10 0.335 0.611 0.584
O11 0.368 0.180 0.164
O12 0.444 0.648 0.241
O13 0.484 0.104 0.455
O14 0.510 0.565 0.925
O15 0.558 0.780 0.367
O16 0.644 0.847 0.843
O17 0.661 0.426 0.421
O18 0.688 0.243 0.089
O19 0.741 0.357 0.736
O20 0.784 0.968 0.955
O21 0.821 0.067 0.609
O22 0.837 0.897 0.286
O23 0.865 0.466 0.866
O24 0.957 0.534 0.361
```

Top 12 peaks for 10° ≤ 2θ ≤ 90°, in order of rising 2θ:
d = 4.441 Å, intensity 33, (1 0 -1)
d = 4.392 Å, intensity 49, (0 1 -1)
d = 4.338 Å, intensity 53, (1 1 2)
d = 4.260 Å, intensity 100, (2 1 1)
d = 3.779 Å, intensity 50, (0 1 2)
d = 3.727 Å, intensity 96, (0 2 1)
d = 3.693 Å, intensity 93, (2 1 0)
d = 3.676 Å, intensity 43, (1 2 0)
d = 3.112 Å, intensity 28, (0 2 2)
d = 3.065 Å, intensity 31, (2 0 2)
d = 2.692 Å, intensity 34, (2 3 1)
d = 2.558 Å, intensity 33, (-2 1 1)